[1]
# Pu2S3
Simulated PXRD pattern, copper Kα. Input: the GGA-PBE geometry in OQMD.

Cell and atoms:
Cell lengths 6.9618, 6.9618, 18.2861 Å; angles 90.00, 90.00, 120.00 degrees
Space group R-3c (No. 167, hexagonal axes)
Inequivalent atoms, fractional coordinates:
Pu1 0.0000 0.0000 0.1475 x12
S1 0.0000 0.2945 0.2500 x18

Principal peaks in the range 2θ from 10° to 90°, by angle:
- 2θ = 17.62°, I 297, hkl 0 1 2
- 2θ = 24.44°, I 918, hkl 1 0 4
- 2θ = 25.59°, I 1000, hkl 1 1 0
- 2θ = 35.68°, I 429, hkl 0 2 4
- 2θ = 39.29°, I 596, hkl 1 1 6
- 2θ = 44.42°, I 449, hkl 2 1 4
- 2θ = 45.11°, I 386, hkl 3 0 0
- 2θ = 52.28°, I 193, hkl 1 0 10
- 2θ = 52.58°, I 155, hkl 2 2 0
- 2θ = 58.80°, I 164, hkl 1 3 4
- 2θ = 61.34°, I 161, hkl 2 2 6
- 2θ = 65.44°, I 179, hkl 2 1 10

***

[2]
# ErBeAu4
Simulated PXRD pattern, copper Kα. Input: the GGA-PBE geometry in OQMD.

Cell and atoms:
Cell lengths 3.4504, 3.4504, 9.1896 Å; angles 90.00, 90.00, 90.00 degrees
Space group P4/mmm (No. 123)
Inequivalent atoms, fractional coordinates:
Er1 0.0000 0.0000 0.0000 x1
Be1 0.5000 0.5000 0.5000 x1
Au1 0.0000 0.0000 0.3549 x2
Au2 0.5000 0.5000 0.1855 x2

Principal peaks in the range 2θ from 10° to 90°, by angle:
- 2θ = 19.32°, I 69, hkl 0 0 2
- 2θ = 27.62°, I 156, hkl 1 0 1
- 2θ = 32.45°, I 225, hkl 1 0 2
- 2θ = 36.84°, I 675, hkl 1 1 0
- 2θ = 39.33°, I 1000, hkl 1 0 3
- 2θ = 53.09°, I 239, hkl 2 0 0
- 2θ = 63.36°, I 101, hkl 1 1 5
- 2θ = 68.03°, I 416, hkl 2 1 3
- 2θ = 72.93°, I 113, hkl 1 1 6
- 2θ = 78.39°, I 78, hkl 2 2 0
- 2θ = 84.61°, I 79, hkl 2 0 6
- 2θ = 89.91°, I 118, hkl 3 1 0

***

[3]
# TlCu3Te4Pt
Simulated PXRD pattern, copper Kα. Input: the GGA-PBE geometry in OQMD.

Cell and atoms:
Cell lengths 6.3525, 6.3525, 6.3525 Å; angles 90.00, 90.00, 90.00 degrees
Space group P-43m (No. 215)
Inequivalent atoms, fractional coordinates:
Tl1 0.0000 0.0000 0.0000 x1
Cu1 0.0000 0.5000 0.5000 x3
Te1 0.2635 0.2635 0.2635 x4
Pt1 0.5000 0.5000 0.5000 x1

Principal peaks in the range 2θ from 10° to 90°, by angle:
- 2θ = 19.76°, I 541, hkl 1 1 0
- 2θ = 24.27°, I 622, hkl 1 1 1
- 2θ = 34.59°, I 279, hkl 2 1 1
- 2θ = 40.15°, I 1000, hkl 2 2 0
- 2θ = 45.13°, I 121, hkl 3 1 0
- 2θ = 47.47°, I 287, hkl 3 1 1
- 2θ = 54.01°, I 175, hkl 3 2 1
- 2θ = 58.08°, I 163, hkl 4 0 0
- 2θ = 63.87°, I 109, hkl 3 3 1
- 2θ = 72.96°, I 319, hkl 4 2 2
- 2θ = 76.46°, I 100, hkl 4 3 1
- 2θ = 86.71°, I 100, hkl 4 4 0

***

[4]
# NdGdIn4Ni2
Simulated PXRD pattern, copper Kα. Input: the GGA-PBE geometry in OQMD.

Cell and atoms:
Cell lengths 4.3269, 4.4821, 18.9012 Å; angles 90.00, 90.00, 90.00 degrees
Space group Amm2 (No. 38)
Inequivalent atoms, fractional coordinates:
Nd1 0.0000 0.0000 0.0000 x2
Gd1 0.0000 0.0000 0.7215 x2
In1 0.0000 0.0000 0.3599 x2
In2 0.5000 0.0000 0.1553 x2
In3 0.5000 0.0000 0.5674 x2
In4 0.5000 0.0000 0.8596 x2
Ni1 0.5000 0.0000 0.2866 x2
Ni2 0.5000 0.0000 0.4346 x2

Principal peaks in the range 2θ from 10° to 90°, by angle:
- 2θ = 27.96°, I 208, hkl 1 0 4
- 2θ = 32.07°, I 1000, hkl 1 1 3
- 2θ = 38.94°, I 294, hkl 0 1 7
- 2θ = 40.24°, I 260, hkl 0 2 0
- 2θ = 41.75°, I 234, hkl 2 0 0
- 2θ = 43.65°, I 115, hkl 1 0 8
- 2θ = 52.86°, I 90, hkl 1 0 10
- 2θ = 58.41°, I 175, hkl 2 1 7
- 2θ = 59.38°, I 161, hkl 2 2 0
- 2θ = 61.66°, I 91, hkl 1 1 11
- 2θ = 68.02°, I 127, hkl 1 3 3
- 2θ = 70.15°, I 101, hkl 3 1 3

***

[5]
# TmHgTeO
Simulated PXRD pattern, copper Kα. Input: the GGA-PBE geometry in OQMD.

Cell and atoms:
Cell lengths 9.0038, 7.1265, 6.7032 Å; angles 90.00, 91.83, 90.00 degrees
Space group P2_1/c (No. 14)
Inequivalent atoms, fractional coordinates:
Tm1 0.0392 0.1417 0.3137 x4
Hg1 0.4203 0.1562 0.4851 x4
Te1 0.2547 0.0209 0.9619 x4
O1 0.0424 0.6537 0.8932 x4

Principal peaks in the range 2θ from 10° to 90°, by angle:
- 2θ = 15.86°, I 755, hkl 1 1 0
- 2θ = 26.62°, I 758, hkl 0 0 2
- 2θ = 27.27°, I 975, hkl 2 1 1
- 2θ = 28.13°, I 1000, hkl 1 0 -2
- 2θ = 29.95°, I 401, hkl 1 2 -1
- 2θ = 32.04°, I 357, hkl 2 2 0
- 2θ = 32.38°, I 465, hkl 3 1 0
- 2θ = 35.05°, I 536, hkl 2 2 1
- 2θ = 36.20°, I 464, hkl 2 1 2
- 2θ = 40.28°, I 708, hkl 0 3 1
- 2θ = 41.27°, I 582, hkl 3 2 -1
- 2θ = 43.94°, I 443, hkl 1 1 3

***

[6]
# Y5AlRe3
Simulated PXRD pattern, copper Kα. Input: the GGA-PBE geometry in OQMD.

Cell and atoms:
Cell lengths 5.2306, 8.1259, 5.4460 Å; angles 90.00, 90.72, 90.00 degrees
Space group P2 (No. 3)
Inequivalent atoms, fractional coordinates:
Y1 0.0000 0.0000 0.0000 x1
Y2 0.2453 0.7764 0.5167 x2
Y3 0.2530 0.3858 0.2467 x2
Al1 0.5000 0.7014 0.0000 x1
Re1 0.0000 0.1161 0.5000 x1
Re2 0.0000 0.6560 0.0000 x1
Re3 0.5000 0.1001 0.5000 x1

Principal peaks in the range 2θ from 10° to 90°, by angle:
- 2θ = 10.89°, I 279, hkl 0 1 0
- 2θ = 19.62°, I 1000, hkl 0 1 1
- 2θ = 23.44°, I 335, hkl 1 0 -1
- 2θ = 26.18°, I 302, hkl 1 1 1
- 2θ = 32.90°, I 378, hkl 0 0 2
- 2θ = 33.07°, I 337, hkl 0 3 0
- 2θ = 34.75°, I 362, hkl 0 1 2
- 2θ = 37.07°, I 733, hkl 0 3 1
- 2θ = 39.63°, I 436, hkl 2 1 -1
- 2θ = 39.86°, I 462, hkl 0 2 2
- 2θ = 40.00°, I 422, hkl 2 1 1
- 2θ = 41.05°, I 676, hkl 2 2 0

***

[7]
# LaHoP2Ir2O2
Simulated PXRD pattern, copper Kα. Input: the GGA-PBE geometry in OQMD.

Cell and atoms:
Cell lengths 3.9801, 3.9801, 8.2513 Å; angles 90.00, 90.00, 90.00 degrees
Space group P4mm (No. 99)
Inequivalent atoms, fractional coordinates:
La1 0.0000 0.0000 0.0000 x1
Ho1 0.5000 0.5000 0.2810 x1
P1 0.0000 0.0000 0.4761 x1
P2 0.5000 0.5000 0.7926 x1
Ir1 0.0000 0.5000 0.6332 x2
O1 0.0000 0.5000 0.1544 x2

Principal peaks in the range 2θ from 10° to 90°, by angle:
- 2θ = 10.72°, I 514, hkl 0 0 1
- 2θ = 21.54°, I 326, hkl 0 0 2
- 2θ = 24.84°, I 276, hkl 1 0 1
- 2θ = 31.23°, I 600, hkl 1 0 2
- 2θ = 32.56°, I 327, hkl 0 0 3
- 2θ = 33.65°, I 1000, hkl 1 1 1
- 2θ = 38.73°, I 667, hkl 1 1 2
- 2θ = 45.58°, I 508, hkl 2 0 0
- 2θ = 55.21°, I 504, hkl 1 1 4
- 2θ = 56.29°, I 221, hkl 2 1 2
- 2θ = 57.13°, I 279, hkl 2 0 3
- 2θ = 76.57°, I 200, hkl 3 1 1

***

Number 1 is which compound? Pu2S3